The following is a calculated X-ray powder pattern of YHoAlCo2. It was derived from a PBE-relaxed structure, using copper Kα.
Kinematic intensities with the Lorentz-polarization factor, no thermal factor.

```
YHoAlCo2
1.0
-2.012 2.719 4.157
2.012 -2.719 4.157
2.012 2.719 -4.157
Y Ho Al Co
1 1 1 2
Direct
0.000 0.000 0.000 Y
0.409 0.409 0.000 Ho
0.704 0.204 0.500 Al
0.428 0.705 0.723 Co
0.982 0.705 0.277 Co
```

Main lines, by angle (10 to 90 degrees two-theta):
- d = 4.551 Å, 2θ = 19.5°, I = 27.1
- d = 3.235 Å, 2θ = 27.6°, I = 57.1
- d = 2.553 Å, 2θ = 35.2°, I = 100.0
- d = 2.469 Å, 2θ = 36.4°, I = 26.9
- d = 2.283 Å, 2θ = 39.5°, I = 44.5
- d = 2.275 Å, 2θ = 39.6°, I = 48.1
- d = 2.174 Å, 2θ = 41.5°, I = 46.0
- d = 2.012 Å, 2θ = 45.1°, I = 28.9
- d = 1.507 Å, 2θ = 61.5°, I = 25.3
- d = 1.338 Å, 2θ = 70.4°, I = 28.0